Starting from a GGA-PBE-relaxed structure, the X-ray powder pattern of LaSm3Pd3 was computed for Cu Kα (λ = 1.5418 Å).
Kinematic intensities with the Lorentz-polarization factor, no thermal factor.

Peak list (8 most intense, 2θ from 15° to 90°, low angle first)
2θ = 28.93°, d = 3.086 Å, intensity 25; 2θ = 31.29°, d = 2.859 Å, intensity 86; 2θ = 33.80°, d = 2.652 Å, intensity 57; 2θ = 35.14°, d = 2.553 Å, intensity 100; 2θ = 36.95°, d = 2.433 Å, intensity 35; 2θ = 37.17°, d = 2.419 Å, intensity 24; 2θ = 41.01°, d = 2.201 Å, intensity 24; 2θ = 53.81°, d = 1.704 Å, intensity 27

Structure:
Unit cell a=7.180 b=7.180 c=7.197 alpha=90.72 beta=90.72 gamma=95.25
Positions (direct):
La: 0.240 0.240 0.377
La: 0.760 0.760 0.623
Sm: 0.158 0.158 0.874
Sm: 0.250 0.750 0.500
Sm: 0.321 0.679 0.000
Sm: 0.679 0.321 0.000
Sm: 0.750 0.250 0.500
Sm: 0.842 0.842 0.126
Pd: 0.006 0.509 0.780
Pd: 0.435 0.435 0.693
Pd: 0.491 0.994 0.220
Pd: 0.509 0.006 0.780
Pd: 0.565 0.565 0.307
Pd: 0.994 0.491 0.220


Starting from a GGA-PBE-relaxed structure, the X-ray powder pattern of Tm2PdPt2 was computed for Cu Kα (λ = 1.5418 Å).
Kinematic intensities with the Lorentz-polarization factor, no thermal factor.

Peak list (8 most intense, 2θ from 15° to 90°, low angle first)
2θ = 33.19°, d = 2.699 Å, intensity 51; 2θ = 34.99°, d = 2.565 Å, intensity 14; 2θ = 35.51°, d = 2.528 Å, intensity 40; 2θ = 38.15°, d = 2.359 Å, intensity 89; 2θ = 38.38°, d = 2.345 Å, intensity 69; 2θ = 38.78°, d = 2.322 Å, intensity 100; 2θ = 41.95°, d = 2.154 Å, intensity 32; 2θ = 66.70°, d = 1.402 Å, intensity 19

Structure:
Unit cell a=5.633 b=5.633 c=7.698 alpha=105.61 beta=105.61 gamma=58.16
Positions (direct):
Tm: 0.017 0.293 0.149
Tm: 0.293 0.017 0.649
Tm: 0.707 0.983 0.351
Tm: 0.983 0.707 0.851
Pd: 0.246 0.754 0.250
Pd: 0.754 0.246 0.750
Pt: 0.247 0.497 0.509
Pt: 0.497 0.247 0.009
Pt: 0.503 0.753 0.991
Pt: 0.753 0.503 0.491